(1)
Structure and theoretical X-ray diffraction stick pattern of Na5NdHg6 (a cell relaxed with GGA-PBE; a wavelength of 1.5418 Å).

Atomic structure:
a b c (Å): 5.3777 7.4366 8.1732
angles (deg): 90.00 106.02 90.00
Fractional positions:
Na 0.0000 0.0000 0.0000
Na 0.3613 0.5000 0.6563
Na 0.3799 0.0000 0.6748
Na 0.6201 0.0000 0.3252
Na 0.6387 0.5000 0.3437
Nd 0.0000 0.5000 0.0000
Hg 0.1161 0.2406 0.3324
Hg 0.1161 0.7594 0.3324
Hg 0.5000 0.2623 0.0000
Hg 0.5000 0.7377 0.0000
Hg 0.8839 0.2406 0.6676
Hg 0.8839 0.7594 0.6676

Principal peaks in the range 5° ≤ 2θ ≤ 70°, low angle first:
3.857 Å, rel. 498
3.718 Å, rel. 486
3.650 Å, rel. 441
2.685 Å, rel. 429
2.677 Å, rel. 1000
2.619 Å, rel. 507
2.605 Å, rel. 936
2.141 Å, rel. 231

---

(2)
Structure and theoretical X-ray diffraction stick pattern of NaNd2Hg6 (a cell relaxed with GGA-PBE; a wavelength of 1.5418 Å).

Atomic structure:
a b c (Å): 7.3470 7.3470 4.8187
angles (deg): 90.00 90.00 115.98
Fractional positions:
Na 0.0000 0.0000 0.0000
Nd 0.2273 0.7727 0.5000
Nd 0.7727 0.2273 0.5000
Hg 0.1740 0.4502 0.0000
Hg 0.2605 0.2605 0.5000
Hg 0.4502 0.1740 0.0000
Hg 0.5498 0.8260 0.0000
Hg 0.7395 0.7395 0.5000
Hg 0.8260 0.5498 0.0000

Principal peaks in the range 5° ≤ 2θ ≤ 70°, low angle first:
3.894 Å, rel. 404
3.302 Å, rel. 301
2.917 Å, rel. 264
2.724 Å, rel. 738
2.616 Å, rel. 1000
2.409 Å, rel. 482
2.172 Å, rel. 324
1.947 Å, rel. 195

---

(3)
Structure and theoretical X-ray diffraction stick pattern of NaNdHgSb (a cell relaxed with GGA-PBE; a wavelength of 1.5418 Å).

Atomic structure:
a b c (Å): 7.6070 7.6070 7.6070
angles (deg): 90.00 90.00 90.00
Fractional positions:
Na 0.0000 0.0000 0.0000
Na 0.0000 0.5000 0.5000
Na 0.5000 0.0000 0.5000
Na 0.5000 0.5000 0.0000
Nd 0.0000 0.0000 0.5000
Nd 0.0000 0.5000 0.0000
Nd 0.5000 0.0000 0.0000
Nd 0.5000 0.5000 0.5000
Hg 0.2500 0.2500 0.2500
Hg 0.2500 0.7500 0.7500
Hg 0.7500 0.2500 0.7500
Hg 0.7500 0.7500 0.2500
Sb 0.2500 0.2500 0.7500
Sb 0.2500 0.7500 0.2500
Sb 0.7500 0.2500 0.2500
Sb 0.7500 0.7500 0.7500

Principal peaks in the range 5° ≤ 2θ ≤ 70°, low angle first:
4.392 Å, rel. 193
3.804 Å, rel. 115
2.689 Å, rel. 1000
2.294 Å, rel. 111
1.902 Å, rel. 182
1.701 Å, rel. 51
1.553 Å, rel. 376
1.345 Å, rel. 116

---

(4)
Structure and theoretical X-ray diffraction stick pattern of Na3Np3HgSe8 (a cell relaxed with GGA-PBE; a wavelength of 1.5418 Å).

Atomic structure:
a b c (Å): 8.2641 8.2641 8.4678
angles (deg): 119.20 119.20 60.00
Fractional positions:
Na 0.0000 0.0000 0.0000
Na 0.0000 0.5000 0.0000
Na 0.5000 0.0000 0.0000
Np 0.0000 0.5000 0.5000
Np 0.5000 0.0000 0.5000
Np 0.5000 0.5000 0.5000
Hg 0.0000 0.0000 0.5000
Se 0.2483 0.7323 0.7290
Se 0.2498 0.2498 0.7299
Se 0.2562 0.2562 0.2687
Se 0.2677 0.7517 0.2710
Se 0.7323 0.2483 0.7290
Se 0.7438 0.7438 0.7313
Se 0.7502 0.7502 0.2701
Se 0.7517 0.2677 0.2710

Principal peaks in the range 5° ≤ 2θ ≤ 70°, low angle first:
6.996 Å, rel. 786
3.527 Å, rel. 381
2.956 Å, rel. 1000
2.298 Å, rel. 199
2.116 Å, rel. 377
2.066 Å, rel. 365
1.981 Å, rel. 208
1.693 Å, rel. 193

---

(5)
Structure and theoretical X-ray diffraction stick pattern of Na8HgO2 (a cell relaxed with GGA-PBE; a wavelength of 1.5418 Å).

Atomic structure:
a b c (Å): 6.3858 6.3858 7.0487
angles (deg): 90.48 90.48 96.80
Fractional positions:
Na 0.0000 0.0000 0.0000
Na 0.0014 0.0014 0.3962
Na 0.2331 0.5980 0.9248
Na 0.2393 0.6032 0.4672
Na 0.5147 0.8732 0.1961
Na 0.5980 0.2331 0.9248
Na 0.6032 0.2393 0.4672
Na 0.8732 0.5147 0.1961
Hg 0.6953 0.6953 0.6986
O 0.1590 0.7697 0.1968
O 0.7697 0.1590 0.1968

Principal peaks in the range 5° ≤ 2θ ≤ 70°, low angle first:
6.341 Å, rel. 1000
4.736 Å, rel. 477
4.692 Å, rel. 461
3.953 Å, rel. 491
3.170 Å, rel. 259
3.093 Å, rel. 278
3.068 Å, rel. 278
2.710 Å, rel. 285

---

(6)
Structure and theoretical X-ray diffraction stick pattern of Na9Hg3O2 (a cell relaxed with GGA-PBE; a wavelength of 1.5418 Å).

Atomic structure:
a b c (Å): 8.8442 8.8442 8.8442
angles (deg): 84.83 84.83 84.83
Fractional positions:
Na 0.0740 0.7416 0.9158
Na 0.0842 0.9260 0.2584
Na 0.1085 0.2500 0.3915
Na 0.2416 0.5740 0.4158
Na 0.2500 0.3915 0.1085
Na 0.2584 0.0842 0.9260
Na 0.3915 0.1085 0.2500
Na 0.4158 0.2416 0.5740
Na 0.4260 0.5842 0.7584
Na 0.5740 0.4158 0.2416
Na 0.5842 0.7584 0.4260
Na 0.6085 0.8915 0.7500
Na 0.7416 0.9158 0.0740
Na 0.7500 0.6085 0.8915
Na 0.7584 0.4260 0.5842
Na 0.8915 0.7500 0.6085
Na 0.9158 0.0740 0.7416
Na 0.9260 0.2584 0.0842
Hg 0.0930 0.4070 0.7500
Hg 0.2500 0.9070 0.5930
Hg 0.4070 0.7500 0.0930
Hg 0.5930 0.2500 0.9070
Hg 0.7500 0.0930 0.4070
Hg 0.9070 0.5930 0.2500
O 0.1517 0.1517 0.1517
O 0.3483 0.3483 0.3483
O 0.6517 0.6517 0.6517
O 0.8483 0.8483 0.8483

Principal peaks in the range 5° ≤ 2θ ≤ 70°, low angle first:
5.966 Å, rel. 240
4.062 Å, rel. 1000
3.444 Å, rel. 497
2.774 Å, rel. 190
2.627 Å, rel. 767
2.160 Å, rel. 230
2.089 Å, rel. 310
1.572 Å, rel. 160

---

(7)
Structure and theoretical X-ray diffraction stick pattern of Na3Hg2O4 (a cell relaxed with GGA-PBE; a wavelength of 1.5418 Å).

Atomic structure:
a b c (Å): 6.4476 6.4625 8.1835
angles (deg): 71.39 71.54 67.47
Fractional positions:
Na 0.1815 0.0946 0.3096
Na 0.2273 0.7481 0.1200
Na 0.2772 0.4668 0.4645
Na 0.7228 0.5332 0.5355
Na 0.7727 0.2519 0.8800
Na 0.8185 0.9054 0.6904
Hg 0.2595 0.4599 0.8599
Hg 0.2996 0.9687 0.6994
Hg 0.7004 0.0313 0.3006
Hg 0.7405 0.5401 0.1401
O 0.0070 0.2578 0.0491
O 0.0424 0.2129 0.5885
O 0.4637 0.3196 0.1904
O 0.4860 0.7476 0.2962
O 0.5140 0.2524 0.7038
O 0.5363 0.6804 0.8096
O 0.9576 0.7871 0.4115
O 0.9930 0.7422 0.9509

Principal peaks in the range 5° ≤ 2θ ≤ 70°, low angle first:
5.200 Å, rel. 1000
4.178 Å, rel. 554
3.783 Å, rel. 480
3.201 Å, rel. 361
2.905 Å, rel. 465
2.572 Å, rel. 304
2.530 Å, rel. 327
2.480 Å, rel. 299

---

(8)
Structure and theoretical X-ray diffraction stick pattern of NaHg2P2O7 (a cell relaxed with GGA-PBE; a wavelength of 1.5418 Å).

Atomic structure:
a b c (Å): 7.8213 7.8213 7.8213
angles (deg): 41.60 41.60 41.60
Fractional positions:
Na 0.0000 0.0000 0.0000
Hg 0.2210 0.2210 0.2210
Hg 0.7790 0.7790 0.7790
P 0.4252 0.4252 0.4252
P 0.5748 0.5748 0.5748
O 0.1517 0.3818 0.6828
O 0.3172 0.6182 0.8483
O 0.3818 0.6828 0.1517
O 0.5000 0.5000 0.5000
O 0.6182 0.8483 0.3172
O 0.6828 0.1517 0.3818
O 0.8483 0.3172 0.6182

Principal peaks in the range 5° ≤ 2θ ≤ 70°, low angle first:
7.134 Å, rel. 466
4.388 Å, rel. 1000
3.575 Å, rel. 979
3.198 Å, rel. 979
2.777 Å, rel. 961
2.588 Å, rel. 346
2.193 Å, rel. 428
1.806 Å, rel. 729

---

(9)
Structure and theoretical X-ray diffraction stick pattern of NaHg2PO4 (a cell relaxed with GGA-PBE; a wavelength of 1.5418 Å).

Atomic structure:
a b c (Å): 6.5788 6.5515 4.8193
angles (deg): 68.77 68.17 43.07
Fractional positions:
Na 0.0000 0.0000 0.0000
Hg 0.2477 0.2477 0.2523
Hg 0.7477 0.7477 0.7523
P 0.4965 0.4965 0.5035
O 0.2272 0.6062 0.7728
O 0.3892 0.7628 0.2372
O 0.6062 0.2272 0.3938
O 0.7628 0.3892 0.6108

Principal peaks in the range 5° ≤ 2θ ≤ 70°, low angle first:
5.611 Å, rel. 964
3.434 Å, rel. 383
2.929 Å, rel. 1000
2.896 Å, rel. 976
2.806 Å, rel. 379
2.409 Å, rel. 458
2.214 Å, rel. 594
1.828 Å, rel. 536

---

(10)
Structure and theoretical X-ray diffraction stick pattern of NaHgPO4 (a cell relaxed with GGA-PBE; a wavelength of 1.5418 Å).

Atomic structure:
a b c (Å): 5.6443 5.6443 6.5460
angles (deg): 90.00 90.00 116.03
Fractional positions:
Na 0.0000 0.0000 0.0000
Na 0.0000 0.0000 0.5000
Hg 0.3119 0.6881 0.7500
Hg 0.6881 0.3119 0.2500
P 0.3608 0.6392 0.2500
P 0.6392 0.3608 0.7500
O 0.2397 0.3347 0.2500
O 0.2546 0.7454 0.0654
O 0.2546 0.7454 0.4346
O 0.3347 0.2397 0.7500
O 0.6653 0.7603 0.2500
O 0.7454 0.2546 0.5654
O 0.7454 0.2546 0.9346
O 0.7603 0.6653 0.7500

Principal peaks in the range 5° ≤ 2θ ≤ 70°, low angle first:
4.787 Å, rel. 313
4.009 Å, rel. 1000
3.273 Å, rel. 361
2.990 Å, rel. 406
2.816 Å, rel. 560
2.750 Å, rel. 312
2.134 Å, rel. 306
2.004 Å, rel. 520

---

(11)
Structure and theoretical X-ray diffraction stick pattern of Na2HgP2O7 (a cell relaxed with GGA-PBE; a wavelength of 1.5418 Å).

Atomic structure:
a b c (Å): 7.6604 7.6604 7.6604
angles (deg): 42.48 42.48 42.48
Fractional positions:
Na 0.2463 0.2463 0.2463
Na 0.7537 0.7537 0.7537
Hg 0.0000 0.0000 0.0000
P 0.4230 0.4230 0.4230
P 0.5770 0.5770 0.5770
O 0.1609 0.3609 0.6899
O 0.3101 0.6391 0.8391
O 0.3609 0.6899 0.1609
O 0.5000 0.5000 0.5000
O 0.6391 0.8391 0.3101
O 0.6899 0.1609 0.3609
O 0.8391 0.3101 0.6391

Principal peaks in the range 5° ≤ 2θ ≤ 70°, low angle first:
6.958 Å, rel. 702
4.366 Å, rel. 1000
3.535 Å, rel. 551
3.152 Å, rel. 607
2.775 Å, rel. 561
2.578 Å, rel. 281
2.534 Å, rel. 282
2.183 Å, rel. 271

---

(12)
Structure and theoretical X-ray diffraction stick pattern of NaPu2HgO8 (a cell relaxed with GGA-PBE; a wavelength of 1.5418 Å).

Atomic structure:
a b c (Å): 6.0820 6.0820 6.2903
angles (deg): 90.00 90.00 120.00
Fractional positions:
Na 0.0000 0.0000 0.0000
Pu 0.3333 0.6667 0.4379
Pu 0.6667 0.3333 0.5621
Hg 0.0000 0.0000 0.5000
O 0.0624 0.3841 0.6421
O 0.3217 0.9376 0.6421
O 0.3333 0.6667 0.1438
O 0.3841 0.3217 0.3579
O 0.6159 0.6783 0.6421
O 0.6667 0.3333 0.8562
O 0.6783 0.0624 0.3579
O 0.9376 0.6159 0.3579

Principal peaks in the range 5° ≤ 2θ ≤ 70°, low angle first:
6.290 Å, rel. 1000
4.038 Å, rel. 139
3.145 Å, rel. 128
3.041 Å, rel. 591
2.738 Å, rel. 610
2.186 Å, rel. 327
1.756 Å, rel. 160
1.691 Å, rel. 186

---

(13)
Structure and theoretical X-ray diffraction stick pattern of RbNa2HgO2 (a cell relaxed with GGA-PBE; a wavelength of 1.5418 Å).

Atomic structure:
a b c (Å): 5.9762 10.8250 3.9914
angles (deg): 90.00 90.00 90.00
Fractional positions:
Rb 0.0000 0.0000 0.0000
Rb 0.5000 0.5000 0.5000
Na 0.0869 0.2698 0.5000
Na 0.4131 0.7698 0.0000
Na 0.5869 0.2302 0.0000
Na 0.9131 0.7302 0.5000
Hg 0.0000 0.5000 0.0000
Hg 0.5000 0.0000 0.5000
O 0.2481 0.3444 0.0000
O 0.2519 0.8444 0.5000
O 0.7481 0.1556 0.5000
O 0.7519 0.6556 0.0000

Principal peaks in the range 5° ≤ 2θ ≤ 70°, low angle first:
5.413 Å, rel. 557
5.232 Å, rel. 276
3.319 Å, rel. 422
2.988 Å, rel. 203
2.830 Å, rel. 1000
2.616 Å, rel. 290
2.097 Å, rel. 251
1.586 Å, rel. 292